Structure and simulated X-ray powder pattern of LiTiCrO4 (a DFT-relaxed cell (PBE+U, Alexandria); copper Kα).
Peak positions follow from Bragg's law for the DFT cell and can differ from measured ones.

Structural model:
abc: 2.9925 5.0342 9.6410
angles: 90.00 90.00 90.00
Fractional positions:
Li 0.0000 0.1911 0.0000
Li 0.0000 0.8089 0.5000
Ti 0.0000 0.2431 0.3237
Ti 0.0000 0.7569 0.8237
Cr 0.5000 0.2584 0.6050
Cr 0.5000 0.7416 0.1050
O 0.0000 0.0289 0.6838
O 0.0000 0.4389 0.5058
O 0.0000 0.5611 0.0058
O 0.0000 0.9711 0.1838
O 0.5000 0.0390 0.4290
O 0.5000 0.4457 0.2526
O 0.5000 0.5543 0.7526
O 0.5000 0.9610 0.9290

The 8 most intense peaks (10 to 80 degrees two-theta), in order of rising 2θ:
- (0 1 1), 2θ 19.90, I 100
- (0 1 3), 2θ 33.07, I 42
- (1 0 2), 2θ 35.30, I 19
- (1 1 1), 2θ 36.14, I 37
- (1 1 2), 2θ 39.72, I 18
- (1 2 2), 2θ 51.06, I 38
- (0 2 4), 2θ 52.57, I 18
- (1 1 5), 2θ 59.96, I 17